NpTl4: simulated powder diffraction line list (Cu Ka), based on a PBE-relaxed structure.
No peak broadening, texture or thermal motion is included.

Most intense lines, 10 to 90 degrees two-theta, sorted by position:
2theta  I_rel
14.7  26
25.6  59
29.7  100
42.5  77
50.3  29
52.7  28
69.9  36
77.8  27

a b c (Å): 6.016 6.016 6.016
angles (deg): 90.00 90.00 90.00
Fractional coordinates of all 5 atoms:
Np: 0.000 0.000 0.000
Tl: 0.000 0.000 0.500
Tl: 0.000 0.500 0.000
Tl: 0.500 0.000 0.000
Tl: 0.500 0.500 0.500

Er2Ga6Cu: simulated powder diffraction line list (Cu Ka), based on a PBE-relaxed structure.
No peak broadening, texture or thermal motion is included.

Most intense lines, 10 to 90 degrees two-theta, sorted by position:
2theta  I_rel
33.7  27
34.4  100
37.9  18
41.5  30
42.7  15
43.3  26
49.2  18
66.3  15

a b c (Å): 3.701 11.667 11.667
angles (deg): 20.65 90.00 90.00
Fractional coordinates of all 9 atoms:
Er: 0.000 0.000 0.000
Er: 0.000 0.334 0.334
Ga: 0.000 0.624 0.624
Ga: 0.000 0.739 0.739
Ga: 0.500 0.112 0.112
Ga: 0.500 0.224 0.224
Ga: 0.500 0.444 0.444
Ga: 0.500 0.881 0.881
Cu: 0.500 0.549 0.549

LaPr6: simulated powder diffraction line list (Cu Ka), based on a PBE-relaxed structure.
No peak broadening, texture or thermal motion is included.

Most intense lines, 10 to 90 degrees two-theta, sorted by position:
2theta  I_rel
30.1  96
30.3  100
43.3  32
53.4  14
53.7  33
53.9  18
71.5  12
87.5  15

a b c (Å): 9.088 9.088 9.088
angles (deg): 118.24 118.24 118.24
Fractional coordinates of all 7 atoms:
La: 0.000 0.000 0.000
Pr: 0.075 0.236 0.504
Pr: 0.236 0.504 0.075
Pr: 0.496 0.925 0.764
Pr: 0.504 0.075 0.236
Pr: 0.764 0.496 0.925
Pr: 0.925 0.764 0.496

Li2ZnCo: simulated powder diffraction line list (Cu Ka), based on a PBE-relaxed structure.
No peak broadening, texture or thermal motion is included.

Most intense lines, 10 to 90 degrees two-theta, sorted by position:
2theta  I_rel
20.0  100
40.6  53
41.5  15
42.7  55
48.5  25
50.1  11
53.8  13
63.5  8

a b c (Å): 9.070 2.604 4.433
angles (deg): 90.00 101.14 90.00
Fractional coordinates of all 8 atoms:
Li: 0.249 0.000 0.239
Li: 0.251 0.500 0.761
Li: 0.749 0.500 0.239
Li: 0.751 0.000 0.761
Zn: 0.000 0.000 0.500
Zn: 0.500 0.500 0.500
Co: 0.000 0.500 0.000
Co: 0.500 0.000 0.000

Li2MgTl2Pb5: simulated powder diffraction line list (Cu Ka), based on a PBE-relaxed structure.
No peak broadening, texture or thermal motion is included.

Most intense lines, 10 to 90 degrees two-theta, sorted by position:
2theta  I_rel
26.5  30
27.6  74
30.8  29
32.3  93
32.8  100
33.2  40
35.6  39
55.2  42

a b c (Å): 11.439 11.439 4.160
angles (deg): 90.00 90.00 90.00
Fractional coordinates of all 20 atoms:
Li: 0.127 0.373 0.000
Li: 0.373 0.873 0.000
Li: 0.627 0.127 0.000
Li: 0.873 0.627 0.000
Mg: 0.000 0.000 0.000
Mg: 0.500 0.500 0.000
Tl: 0.178 0.678 0.000
Tl: 0.322 0.178 0.000
Tl: 0.678 0.822 0.000
Tl: 0.822 0.322 0.000
Pb: 0.000 0.500 0.500
Pb: 0.060 0.201 0.500
Pb: 0.201 0.940 0.500
Pb: 0.299 0.440 0.500
Pb: 0.440 0.701 0.500
Pb: 0.500 0.000 0.500
Pb: 0.560 0.299 0.500
Pb: 0.701 0.560 0.500
Pb: 0.799 0.060 0.500
Pb: 0.940 0.799 0.500